Entry 1:
Computed PXRD pattern
Compound: SiO2
Radiation: Cu Kα X-rays
Structure: DFT lattice parameters and positions (GGA-PBE)
Kinematic intensities with the Lorentz-polarization factor, no thermal factor.

Lattice parameters (Å, degrees): 7.972 7.972 7.972 125.94 125.94 79.99
Positions (direct):
Si  0.000  0.000  0.000
Si  0.006  0.212  0.794
Si  0.418  0.212  0.206
Si  0.788  0.582  0.794
Si  0.788  0.994  0.206
O  0.261  0.079  0.182
O  0.267  0.267  0.000
O  0.566  0.066  0.132
O  0.566  0.434  0.500
O  0.733  0.733  0.000
O  0.896  0.079  0.818
O  0.921  0.104  0.182
O  0.921  0.739  0.818
O  0.934  0.066  0.500
O  0.934  0.434  0.868

The 10 most intense peaks (5 to 70 degrees two-theta), by angle:
d = 6.232 Å, rel. 100
d = 6.108 Å, rel. 34
d = 5.124 Å, rel. 29
d = 3.132 Å, rel. 25
d = 3.116 Å, rel. 13
d = 3.054 Å, rel. 8
d = 2.536 Å, rel. 6
d = 2.146 Å, rel. 3
d = 1.812 Å, rel. 3
d = 1.802 Å, rel. 4

---

Entry 2:
Computed PXRD pattern
Compound: Nd12Co6Ag
Radiation: Cu Kα X-rays
Structure: DFT lattice parameters and positions (GGA-PBE)
Kinematic intensities with the Lorentz-polarization factor, no thermal factor.

Lattice parameters (Å, degrees): 8.645 8.645 8.645 109.47 109.47 109.47
Positions (direct):
Nd  0.112  0.806  0.306
Nd  0.194  0.306  0.499
Nd  0.194  0.694  0.888
Nd  0.306  0.112  0.806
Nd  0.306  0.499  0.194
Nd  0.499  0.194  0.306
Nd  0.501  0.806  0.694
Nd  0.694  0.501  0.806
Nd  0.694  0.888  0.194
Nd  0.806  0.306  0.112
Nd  0.806  0.694  0.501
Nd  0.888  0.194  0.694
Co  0.112  0.612  0.500
Co  0.388  0.500  0.888
Co  0.500  0.112  0.612
Co  0.500  0.888  0.388
Co  0.612  0.500  0.112
Co  0.888  0.388  0.500
Ag  0.000  0.000  0.000

The 10 most intense peaks (5 to 70 degrees two-theta), by angle:
d = 3.157 Å, rel. 45
d = 2.882 Å, rel. 52
d = 2.668 Å, rel. 100
d = 2.496 Å, rel. 19
d = 1.958 Å, rel. 25
d = 1.712 Å, rel. 37
d = 1.664 Å, rel. 13
d = 1.619 Å, rel. 37
d = 1.412 Å, rel. 19
d = 1.359 Å, rel. 10

---

Entry 3:
Computed PXRD pattern
Compound: Mg2GaReN4
Radiation: Cu Kα X-rays
Structure: DFT lattice parameters and positions (GGA-PBE)
Kinematic intensities with the Lorentz-polarization factor, no thermal factor.

Lattice parameters (Å, degrees): 6.701 5.663 5.445 90.00 90.00 90.00
Positions (direct):
Mg  0.244  0.157  0.000
Mg  0.256  0.843  0.500
Mg  0.744  0.843  0.500
Mg  0.756  0.157  0.000
Ga  0.000  0.364  0.491
Ga  0.500  0.636  0.991
Re  0.000  0.657  0.006
Re  0.500  0.343  0.506
N  0.000  0.353  0.855
N  0.000  0.695  0.354
N  0.245  0.798  0.891
N  0.255  0.202  0.391
N  0.500  0.305  0.854
N  0.500  0.647  0.355
N  0.745  0.202  0.391
N  0.755  0.798  0.891

The 10 most intense peaks (5 to 70 degrees two-theta), by angle:
d = 5.663 Å, rel. 58
d = 4.325 Å, rel. 39
d = 4.226 Å, rel. 48
d = 3.925 Å, rel. 92
d = 3.350 Å, rel. 45
d = 2.884 Å, rel. 58
d = 2.722 Å, rel. 60
d = 2.548 Å, rel. 100
d = 2.512 Å, rel. 70
d = 2.010 Å, rel. 39

---

Entry 4:
Computed PXRD pattern
Compound: Ho4ZrIr3
Radiation: Cu Kα X-rays
Structure: DFT lattice parameters and positions (GGA-PBE)
Kinematic intensities with the Lorentz-polarization factor, no thermal factor.

Lattice parameters (Å, degrees): 8.268 8.268 8.268 97.45 97.45 137.79
Positions (direct):
Ho  0.081  0.788  0.869
Ho  0.212  0.081  0.294
Ho  0.288  0.581  0.869
Ho  0.419  0.288  0.706
Ho  0.581  0.712  0.294
Ho  0.712  0.419  0.131
Ho  0.788  0.919  0.706
Ho  0.919  0.212  0.131
Zr  0.250  0.750  0.500
Zr  0.750  0.250  0.500
Ir  0.151  0.349  0.500
Ir  0.250  0.250  0.000
Ir  0.349  0.849  0.198
Ir  0.651  0.151  0.802
Ir  0.750  0.750  0.000
Ir  0.849  0.651  0.500

The 10 most intense peaks (5 to 70 degrees two-theta), by angle:
d = 2.977 Å, rel. 34
d = 2.697 Å, rel. 82
d = 2.613 Å, rel. 48
d = 2.439 Å, rel. 53
d = 2.418 Å, rel. 100
d = 2.357 Å, rel. 39
d = 2.011 Å, rel. 24
d = 1.588 Å, rel. 28
d = 1.370 Å, rel. 29
d = 1.349 Å, rel. 22

---

Entry 5:
Computed PXRD pattern
Compound: NaZnF3
Radiation: Cu Kα X-rays
Structure: DFT lattice parameters and positions (GGA-PBE)
Kinematic intensities with the Lorentz-polarization factor, no thermal factor.

Lattice parameters (Å, degrees): 6.372 6.372 6.372 90.00 90.00 90.00
Positions (direct):
Na  0.125  0.375  0.625
Na  0.375  0.625  0.125
Na  0.625  0.125  0.375
Na  0.875  0.875  0.875
Zn  0.097  0.903  0.403
Zn  0.403  0.097  0.903
Zn  0.597  0.597  0.597
Zn  0.903  0.403  0.097
F  0.016  0.705  0.155
F  0.155  0.016  0.705
F  0.205  0.345  0.984
F  0.295  0.655  0.484
F  0.345  0.984  0.205
F  0.484  0.295  0.655
F  0.516  0.795  0.845
F  0.655  0.484  0.295
F  0.705  0.155  0.016
F  0.795  0.845  0.516
F  0.845  0.516  0.795
F  0.984  0.205  0.345

The 10 most intense peaks (5 to 70 degrees two-theta), by angle:
d = 4.506 Å, rel. 51
d = 3.679 Å, rel. 69
d = 2.850 Å, rel. 100
d = 2.601 Å, rel. 29
d = 2.124 Å, rel. 17
d = 2.015 Å, rel. 34
d = 1.921 Å, rel. 20
d = 1.767 Å, rel. 22
d = 1.703 Å, rel. 74
d = 1.545 Å, rel. 21

---

Entry 6:
Computed PXRD pattern
Compound: LiTaF6
Radiation: Cu Kα X-rays
Structure: DFT lattice parameters and positions (GGA-PBE)
Kinematic intensities with the Lorentz-polarization factor, no thermal factor.

Lattice parameters (Å, degrees): 5.222 5.222 9.571 90.00 90.00 120.00
Positions (direct):
Li  0.333  0.667  0.250
Li  0.667  0.333  0.750
Ta  0.000  0.000  0.000
Ta  0.000  0.000  0.500
F  0.057  0.325  0.117
F  0.057  0.732  0.383
F  0.268  0.325  0.383
F  0.268  0.943  0.117
F  0.325  0.057  0.617
F  0.325  0.268  0.883
F  0.675  0.732  0.117
F  0.675  0.943  0.383
F  0.732  0.057  0.883
F  0.732  0.675  0.617
F  0.943  0.268  0.617
F  0.943  0.675  0.883

The 10 most intense peaks (5 to 70 degrees two-theta), by angle:
d = 4.786 Å, rel. 36
d = 4.522 Å, rel. 100
d = 3.287 Å, rel. 83
d = 2.292 Å, rel. 33
d = 2.115 Å, rel. 20
d = 2.044 Å, rel. 21
d = 1.764 Å, rel. 23
d = 1.643 Å, rel. 14
d = 1.610 Å, rel. 21
d = 1.391 Å, rel. 12